Structure and simulated X-ray powder pattern of Rb3Mo2Cl9 (a cell relaxed with PBE; CuKα).

Principal peaks in the range 10° ≤ 2θ ≤ 90°, sorted by position:
2θ (°)  I_rel  hkl
15.1  87  1 0 1
24.8  100  1 1 0
29.4  62  1 0 5
32.7  95  2 0 3
35.5  68  2 0 4
50.9  64  2 2 0

Crystal structure
a = 7.1794 Å, b = 7.1794 Å, c = 17.4327 Å
α = 90.00°, β = 90.00°, γ = 120.00°
Space group P6_3/mmc (No. 194)
One atom of each set of equivalent atoms:
Rb 0.0000 0.0000 0.2500 [2 per cell]
Rb 0.3333 0.6667 0.0705 [4 per cell]
Mo 0.3333 0.6667 0.6707 [4 per cell]
Cl 0.9998 0.4999 0.2500 [6 per cell]
Cl 0.1741 0.3481 0.5924 [12 per cell]